Theoretical powder diffraction line list
Compound: NaLa2Ti2MnO9
Radiation: a wavelength of 1.5418 Å
Structure: a GGA+U-relaxed structure

Principal peaks in the range 2θ = 10–90°, by intensity:
- 2θ 32.5, I = 100.0
- 2θ 46.6, I = 28.6
- 2θ 19.7, I = 23.7
- 2θ 32.4, I = 18.7
- 2θ 57.9, I = 17.3
- 2θ 40.1, I = 15.5

Cell and atoms:
```
data_NaLa2Ti2MnO9
_symmetry_space_group_name_H-M 'C 1 2 1'
_symmetry_Int_Tables_number 5
_cell_length_a 9.505
_cell_length_b 5.528
_cell_length_c 13.498
_cell_angle_alpha 90.00
_cell_angle_beta 90.09
_cell_angle_gamma 90.00
loop_
_symmetry_equiv_pos_as_xyz
'x,y,z'
'-x,y,-z'
'x+1/2,y+1/2,z'
'-x+1/2,y+1/2,-z'
loop_
_atom_site_label
_atom_site_type_symbol
_atom_site_fract_x
_atom_site_fract_y
_atom_site_fract_z
_atom_site_occupancy
Na1 Na 0.168 0.000 0.333 1
La1 La 0.000 0.501 0.000 1
La2 La 0.000 0.515 0.500 1
La3 La 0.161 0.011 0.833 1
Ti1 Ti 0.004 0.508 0.251 1
Ti2 Ti 0.167 0.010 0.584 1
Mn1 Mn 0.168 0.005 0.084 1
O1 O 0.000 0.078 0.500 1
O2 O 0.000 0.930 0.000 1
O3 O 0.060 0.258 0.153 1
O4 O 0.060 0.754 0.654 1
O5 O 0.106 0.254 0.679 1
O6 O 0.110 0.750 0.177 1
O7 O 0.157 0.576 0.839 1
O8 O 0.167 0.439 0.334 1
O9 O 0.220 0.248 0.984 1
O10 O 0.224 0.752 0.489 1
```